Record 1
Structure and simulated X-ray diffraction stick pattern of Sm4Bi5H (a crystal structure in Alexandria, relaxed with GGA-PBE; λ = 1.5418 Å (Cu Kα)).
Lines closer than 0.1° are merged.

Structure:
```
data_Sm4Bi5H
_cell_length_a 18.984
_cell_length_b 3.527
_cell_length_c 9.124
_cell_angle_alpha 90.00
_cell_angle_beta 92.91
_cell_angle_gamma 90.00
_symmetry_space_group_name_H-M 'C 1 2/m 1'
_symmetry_Int_Tables_number 12
loop_
_symmetry_equiv_pos_as_xyz
'x,y,z'
'-x,-y,-z'
'-x,y,-z'
'x,-y,z'
'x+1/2,y+1/2,z'
'-x+1/2,-y+1/2,-z'
'-x+1/2,y+1/2,-z'
'x+1/2,-y+1/2,z'
loop_
_atom_site_label
_atom_site_type_symbol
_atom_site_fract_x
_atom_site_fract_y
_atom_site_fract_z
Sm1 Sm 0.014 0.000 0.315
Sm2 Sm 0.158 0.500 0.583
Bi1 Bi 0.000 0.500 0.000
Bi2 Bi 0.143 0.000 0.892
Bi3 Bi 0.183 0.000 0.282
H1 H 0.000 0.500 0.500
```

Peak list (6 most intense, 2θ = 10–90°, by angle)
h k l, 2θ (°), d_spacing, I/Imax
6 0 0, 28.2, 3.160, 75
3 1 -1, 30.4, 2.940, 84
2 0 3, 31.4, 2.851, 52
1 1 -2, 32.3, 2.772, 100
4 0 -3, 34.2, 2.619, 43
5 1 2, 40.8, 2.214, 63

---

Record 2
Structure and simulated X-ray diffraction stick pattern of VTcRh3 (a crystal structure in Alexandria, relaxed with GGA-PBE; λ = 1.5418 Å (Cu Kα)).
Lines closer than 0.1° are merged.

Structure:
```
data_VTcRh3
_cell_length_a 4.681
_cell_length_b 5.373
_cell_length_c 6.136
_cell_angle_alpha 77.29
_cell_angle_beta 74.85
_cell_angle_gamma 73.00
_symmetry_space_group_name_H-M 'P -1'
_symmetry_Int_Tables_number 2
loop_
_symmetry_equiv_pos_as_xyz
'x,y,z'
'-x,-y,-z'
loop_
_atom_site_label
_atom_site_type_symbol
_atom_site_fract_x
_atom_site_fract_y
_atom_site_fract_z
V1 V 0.104 0.151 0.284
Tc1 Tc 0.096 0.645 0.300
Rh1 Rh 0.299 0.452 0.893
Rh2 Rh 0.300 0.953 0.893
Rh3 Rh 0.489 0.754 0.496
```

Peak list (6 most intense, 2θ = 10–90°, by angle)
h k l, 2θ (°), d_spacing, I/Imax
1 0 -2, 40.6, 2.225, 34
2 0 1, 40.9, 2.208, 100
1 0 3, 46.8, 1.940, 22
2 2 0, 47.6, 1.909, 21
-1 2 1, 47.9, 1.899, 21
0 2 4, 68.9, 1.363, 13

---

Record 3
Structure and simulated X-ray diffraction stick pattern of ReSi3Bi (a crystal structure in Alexandria, relaxed with GGA-PBE; λ = 1.5418 Å (Cu Kα)).
Lines closer than 0.1° are merged.

Structure:
```
data_ReSi3Bi
_cell_length_a 4.774
_cell_length_b 4.774
_cell_length_c 4.774
_cell_angle_alpha 90.00
_cell_angle_beta 90.00
_cell_angle_gamma 90.00
_symmetry_space_group_name_H-M 'P m -3 m'
_symmetry_Int_Tables_number 221
_symmetry_space_group_name_Hall '-P 4 2 3'
loop_
_atom_site_label
_atom_site_type_symbol
_atom_site_fract_x
_atom_site_fract_y
_atom_site_fract_z
Re1 Re 0.000 0.000 0.000
Si1 Si 0.000 0.000 0.500
Bi1 Bi 0.500 0.500 0.500
```

Peak list (6 most intense, 2θ = 10–90°, by angle)
h k l, 2θ (°), d_spacing, I/Imax
1 1 0, 26.4, 3.376, 100
2 0 0, 37.7, 2.387, 35
2 1 1, 46.6, 1.949, 45
2 2 0, 54.3, 1.688, 24
3 1 0, 61.4, 1.510, 20
3 2 1, 74.3, 1.276, 23

---

Record 4
Structure and simulated X-ray diffraction stick pattern of LaZr2Ta (a crystal structure in Alexandria, relaxed with GGA-PBE; λ = 1.5418 Å (Cu Kα)).
Lines closer than 0.1° are merged.

Structure:
```
data_LaZr2Ta
_cell_length_a 3.174
_cell_length_b 4.904
_cell_length_c 6.307
_cell_angle_alpha 90.00
_cell_angle_beta 102.78
_cell_angle_gamma 90.00
_symmetry_space_group_name_H-M 'P 1 2/m 1'
_symmetry_Int_Tables_number 10
loop_
_symmetry_equiv_pos_as_xyz
'x,y,z'
'-x,-y,-z'
'-x,y,-z'
'x,-y,z'
loop_
_atom_site_label
_atom_site_type_symbol
_atom_site_fract_x
_atom_site_fract_y
_atom_site_fract_z
La1 La 0.000 0.000 0.000
Zr1 Zr 0.298 0.500 0.716
Ta1 Ta 0.500 0.000 0.500
```

Peak list (6 most intense, 2θ = 10–90°, by angle)
h k l, 2θ (°), d_spacing, I/Imax
0 1 2, 34.4, 2.605, 100
1 1 -1, 34.6, 2.589, 95
1 0 1, 35.2, 2.548, 50
0 2 0, 36.6, 2.452, 45
1 0 -3, 47.5, 1.916, 19
1 2 1, 51.7, 1.767, 33

---

Record 5
Structure and simulated X-ray diffraction stick pattern of In2HgPb3I8 (a crystal structure in Alexandria, relaxed with GGA-PBE; λ = 1.5418 Å (Cu Kα)).
Lines closer than 0.1° are merged.

Structure:
```
data_In2HgPb3I8
_cell_length_a 9.3659
_cell_length_b 9.3659
_cell_length_c 29.2205
_cell_angle_alpha 90.00
_cell_angle_beta 90.00
_cell_angle_gamma 120.00
_symmetry_space_group_name_H-M 'R 3 m'
_symmetry_Int_Tables_number 160
_symmetry_space_group_name_Hall 'R 3 -2"'
loop_
_atom_site_label
_atom_site_type_symbol
_atom_site_fract_x
_atom_site_fract_y
_atom_site_fract_z
In1 In 0.0000 0.0000 0.0000
In2 In 0.0000 0.0000 0.4104
Hg1 Hg 0.0000 0.0000 0.6808
Pb1 Pb 0.9999 0.4999 0.5326
I1 I 0.0000 0.0000 0.2647
I2 I 0.0000 0.0000 0.8045
I3 I 0.0107 0.5054 0.7997
I4 I 0.1735 0.3471 0.5966
```

Peak list (6 most intense, 2θ = 10–90°, by angle)
h k l, 2θ (°), d_spacing, I/Imax
1 1 3, 21.0, 4.221, 55
0 2 4, 25.1, 3.546, 100
0 2 7, 30.7, 2.909, 89
2 0 8, 33.0, 2.714, 67
2 2 0, 38.4, 2.341, 78
2 0 11, 40.6, 2.222, 35

---

Record 6
Structure and simulated X-ray diffraction stick pattern of Li2NpCdF8 (a crystal structure in Alexandria, relaxed with GGA-PBE; λ = 1.5418 Å (Cu Kα)).
Lines closer than 0.1° are merged.

Structure:
```
data_Li2NpCdF8
_cell_length_a 5.278
_cell_length_b 5.278
_cell_length_c 11.047
_cell_angle_alpha 90.00
_cell_angle_beta 90.00
_cell_angle_gamma 90.00
_symmetry_space_group_name_H-M 'I -4'
_symmetry_Int_Tables_number 82
loop_
_symmetry_equiv_pos_as_xyz
'x,y,z'
'y,-x,-z'
'-x,-y,z'
'-y,x,-z'
'x+1/2,y+1/2,z+1/2'
'y+1/2,-x+1/2,-z+1/2'
'-x+1/2,-y+1/2,z+1/2'
'-y+1/2,x+1/2,-z+1/2'
loop_
_atom_site_label
_atom_site_type_symbol
_atom_site_fract_x
_atom_site_fract_y
_atom_site_fract_z
Li1 Li 0.000 0.000 0.000
Li2 Li 0.000 0.500 0.250
Np1 Np 0.000 0.000 0.500
Cd1 Cd 0.000 0.500 0.750
F1 F 0.163 0.777 0.337
F2 F 0.175 0.276 0.920
```

Peak list (6 most intense, 2θ = 10–90°, by angle)
h k l, 2θ (°), d_spacing, I/Imax
1 0 1, 18.6, 4.762, 100
1 1 2, 28.9, 3.092, 67
1 0 3, 29.6, 3.020, 23
2 1 1, 39.0, 2.308, 34
1 2 3, 45.7, 1.987, 25
2 0 4, 47.7, 1.908, 23